Entry 1:
For BaPbCl4, a cell relaxed with PBE gives the simulated powder diffraction line list in this record (CuKα).

Crystal structure
Lattice parameters (Å, degrees): 9.4395 9.7826 9.2184 90.00 90.00 90.00
Space group Imma (No. 74)
One atom of each set of equivalent atoms:
Ba 0.0000 0.2500 0.1687 (multiplicity 4)
Pb 0.2500 0.2500 0.7500 (multiplicity 4)
Cl 0.0000 0.0734 0.8162 (multiplicity 8)
Cl 0.1965 0.2500 0.4444 (multiplicity 8)

Peak list (6 most intense, 2θ from 5° to 70°, in order of rising 2θ)
| 2theta | Rel. int. | index |
| --- | --- | --- |
| 18.14 | 83 | 0 2 0 |
| 19.26 | 37 | 0 0 2 |
| 23.04 | 100 | 2 1 1 |
| 30.49 | 26 | 0 1 3 |
| 34.83 | 66 | 2 3 1 |
| 36.07 | 28 | 2 1 3 |

---

Entry 2:
For Ba4Pb6Cl19, a cell relaxed with PBE gives the simulated powder diffraction line list in this record (CuKα).

Crystal structure
Lattice parameters (Å, degrees): 12.6768 12.6768 12.6768 90.00 90.00 90.00
Space group I23 (No. 197)
One atom of each set of equivalent atoms:
Ba 0.1429 0.1429 0.1429 (multiplicity 8)
Pb 0.0000 0.1430 0.5000 (multiplicity 12)
Cl 0.0000 0.0000 0.0000 (multiplicity 2)
Cl 0.0000 0.0000 0.2922 (multiplicity 12)
Cl 0.0648 0.2820 0.3363 (multiplicity 24)

Peak list (6 most intense, 2θ from 5° to 70°, in order of rising 2θ)
| 2theta | Rel. int. | index |
| --- | --- | --- |
| 13.97 | 37 | 2 0 0 |
| 22.18 | 91 | 3 0 1 |
| 26.30 | 60 | 3 1 2 |
| 36.13 | 100 | 4 3 1 |
| 42.80 | 36 | 6 0 0 |
| 63.09 | 35 | 7 4 3 |

---

Entry 3:
For BaPbCl4, a cell relaxed with PBE gives the simulated powder diffraction line list in this record (CuKα).

Crystal structure
Lattice parameters (Å, degrees): 7.2488 7.2141 7.2136 90.00 90.06 90.00
Space group P2_1/c (No. 14)
One atom of each set of equivalent atoms:
Ba 0.0000 0.0000 0.0000 (multiplicity 2)
Pb 0.5000 0.0000 0.5000 (multiplicity 2)
Cl 0.2612 0.2495 0.2506 (multiplicity 4)
Cl 0.2607 0.7493 0.2494 (multiplicity 4)

Peak list (6 most intense, 2θ from 5° to 70°, in order of rising 2θ)
| 2theta | Rel. int. | index |
| --- | --- | --- |
| 21.30 | 100 | 1 1 1 |
| 35.10 | 58 | 2 2 0 |
| 35.19 | 29 | 0 2 2 |
| 41.35 | 18 | 3 1 1 |
| 41.50 | 36 | 1 1 3 |
| 63.08 | 20 | 2 4 2 |

---

Entry 4:
For BaPb2Cl, a cell relaxed with PBE gives the simulated powder diffraction line list in this record (CuKα).

Crystal structure
Lattice parameters (Å, degrees): 3.9354 3.9915 9.2269 90.00 90.16 90.00
Space group Pm (No. 6)
One atom of each set of equivalent atoms:
Ba 0.0000 0.0000 0.0000 (multiplicity 1)
Pb 0.4977 0.5000 0.7175 (multiplicity 1)
Pb 0.9964 0.0000 0.5252 (multiplicity 1)
Cl 0.5009 0.5000 0.1585 (multiplicity 1)

Peak list (6 most intense, 2θ from 5° to 70°, in order of rising 2θ)
| 2theta | Rel. int. | index |
| --- | --- | --- |
| 9.59 | 100 | 0 0 1 |
| 29.59 | 98 | 0 1 2 |
| 29.84 | 96 | 1 0 2 |
| 31.94 | 95 | 1 1 0 |
| 45.43 | 31 | 0 2 0 |
| 55.32 | 34 | 1 2 2 |

---

Entry 5:
For BaSrPtPbCl, a cell relaxed with PBE gives the simulated powder diffraction line list in this record (CuKα).

Crystal structure
Lattice parameters (Å, degrees): 4.8573 4.8573 9.0483 90.00 90.00 120.00
Space group P3m1 (No. 156)
One atom of each set of equivalent atoms:
Ba 0.0000 0.0000 0.0000 (multiplicity 1)
Sr 0.6667 0.3333 0.5086 (multiplicity 1)
Pt 0.0000 0.0000 0.6618 (multiplicity 1)
Pb 0.3333 0.6667 0.7374 (multiplicity 1)
Cl 0.6667 0.3333 0.1794 (multiplicity 1)

Peak list (6 most intense, 2θ from 5° to 70°, in order of rising 2θ)
| 2theta | Rel. int. | index |
| --- | --- | --- |
| 9.78 | 100 | 0 0 1 |
| 23.32 | 42 | 1 0 1 |
| 28.98 | 38 | 0 1 2 |
| 36.66 | 48 | 0 1 3 |
| 37.01 | 50 | 1 1 0 |
| 38.38 | 26 | 1 1 1 |

---

Entry 6:
For BaSrPtPbCl, a cell relaxed with PBE gives the simulated powder diffraction line list in this record (CuKα).

Crystal structure
Lattice parameters (Å, degrees): 11.4185 4.3167 8.1572 90.00 125.02 90.00
Space group Cm (No. 8)
One atom of each set of equivalent atoms:
Ba 0.0000 0.0000 0.0000 (multiplicity 2)
Sr 0.4100 0.0000 0.4132 (multiplicity 2)
Pt 0.1796 0.5000 0.3950 (multiplicity 2)
Pb 0.2040 0.0000 0.6166 (multiplicity 2)
Cl 0.2477 0.5000 0.0594 (multiplicity 2)

Peak list (6 most intense, 2θ from 5° to 70°, in order of rising 2θ)
| 2theta | Rel. int. | index |
| --- | --- | --- |
| 13.25 | 57 | 0 0 1 |
| 15.70 | 86 | 2 0 -1 |
| 29.06 | 100 | 1 1 1 |
| 30.71 | 70 | 1 1 -2 |
| 33.03 | 51 | 3 1 -2 |
| 39.58 | 49 | 3 1 -3 |

---

Entry 7:
For BaSrPbCl6, a cell relaxed with PBE gives the simulated powder diffraction line list in this record (CuKα).

Crystal structure
Lattice parameters (Å, degrees): 7.4990 7.4990 13.2605 90.00 90.00 120.00
Space group P-31c (No. 163)
One atom of each set of equivalent atoms:
Ba 0.0000 0.0000 0.0000 (multiplicity 2)
Sr 0.3333 0.6667 0.2500 (multiplicity 2)
Pb 0.3333 0.6667 0.7500 (multiplicity 2)
Cl 0.0008 0.3468 0.1310 (multiplicity 12)

Peak list (6 most intense, 2θ from 5° to 70°, in order of rising 2θ)
| 2theta | Rel. int. | index |
| --- | --- | --- |
| 19.13 | 100 | 1 0 2 |
| 23.73 | 37 | 1 1 0 |
| 27.33 | 33 | 1 1 2 |
| 36.17 | 73 | 1 1 4 |
| 39.13 | 33 | 2 1 2 |
| 41.72 | 35 | 3 0 0 |

---

Entry 8:
For Ba2PdCl6, a cell relaxed with PBE gives the simulated powder diffraction line list in this record (CuKα).

Crystal structure
Lattice parameters (Å, degrees): 7.1134 7.1134 12.9299 90.00 90.00 90.00
Space group P4_2/mnm (No. 136)
One atom of each set of equivalent atoms:
Ba 0.0000 0.0000 0.1680 (multiplicity 4)
Pd 0.0000 0.0000 0.5000 (multiplicity 2)
Cl 0.1687 0.1687 0.3705 (multiplicity 8)
Cl 0.1952 0.1952 0.0000 (multiplicity 4)

Peak list (6 most intense, 2θ from 5° to 70°, in order of rising 2θ)
| 2theta | Rel. int. | index |
| --- | --- | --- |
| 17.63 | 100 | 1 1 0 |
| 24.14 | 45 | 1 0 3 |
| 35.06 | 72 | 2 1 3 |
| 35.70 | 20 | 2 2 0 |
| 43.56 | 32 | 3 0 3 |
| 57.54 | 15 | 4 1 3 |